Record 1
Structure and theoretical powder XRD pattern of Cs2O (a PBE-relaxed structure; Cu Kα X-rays).
Peak positions follow from Bragg's law for the DFT cell and can differ from measured ones.

Largest 10 diffraction maxima, by intensity, 2θ = 10–80°:
2θ (°)  Rel. int.  (hkl)
27.5  100  1 1 2
31.8  26  0 2 0
29.1  26  2 1 0
50.5  16  0 2 4
54.1  15  1 3 2
38.2  13  0 0 4
24.3  13  2 0 0
22.5  11  1 0 2
30.7  11  2 1 1
41.7  11  3 0 2

Cell and atoms:
```
data_Cs2O
_chemical_formula_sum 'Cs8 O4'
_space_group_name_H-M_alt 'P n m a'
_space_group_IT_number 62
_space_group_name_Hall '-P 2ac 2n'
_cell_length_a 7.3151
_cell_length_b 5.6305
_cell_length_c 9.4157
_cell_angle_alpha 90.00
_cell_angle_beta 90.00
_cell_angle_gamma 90.00
loop_
_atom_site_label
_atom_site_fract_x
_atom_site_fract_y
_atom_site_fract_z
Cs1 0.0247 0.2500 0.1399
Cs2 0.1066 0.2500 0.6103
O1 0.2218 0.2500 0.9026
```

***

Record 2
Structure and theoretical powder XRD pattern of ErCuGe (a PBE-relaxed structure; Cu Kα X-rays).
Peak positions follow from Bragg's law for the DFT cell and can differ from measured ones.

Largest 10 diffraction maxima, by intensity, 2θ = 10–80°:
2θ (°)  Rel. int.  (hkl)
34.7  100  1 0 1
42.9  47  1 1 0
56.3  25  2 0 1
67.7  24  1 1 2
73.3  22  2 1 1
24.4  19  1 0 0
49.7  10  0 0 2
78.6  8  3 0 0
56.1  4  1 0 2
50.0  3  2 0 0

Cell and atoms:
```
data_ErCuGe
_chemical_formula_sum 'Er1 Cu1 Ge1'
_space_group_name_H-M_alt 'P -6 m 2'
_space_group_IT_number 187
_space_group_name_Hall 'P -6 2'
_cell_length_a 4.2153
_cell_length_b 4.2153
_cell_length_c 3.6692
_cell_angle_alpha 90.00
_cell_angle_beta 90.00
_cell_angle_gamma 120.00
loop_
_atom_site_label
_atom_site_fract_x
_atom_site_fract_y
_atom_site_fract_z
Er1 0.0000 0.0000 0.0000
Cu1 0.3333 0.6667 0.5000
Ge1 0.6667 0.3333 0.5000
```

***

Record 3
Structure and theoretical powder XRD pattern of CoHgS4 (a PBE-relaxed structure; Cu Kα X-rays).
Peak positions follow from Bragg's law for the DFT cell and can differ from measured ones.

Largest 10 diffraction maxima, by intensity, 2θ = 10–80°:
2θ (°)  Rel. int.  (hkl)
21.3  100  1 0 1
32.9  70  2 1 1
54.0  34  3 1 2
35.3  27  2 2 0
39.5  25  1 1 2
24.8  24  2 0 0
49.1  24  3 2 1
55.7  18  1 4 1
17.5  17  1 1 0
39.7  17  3 1 0

Cell and atoms:
```
data_CoHgS4
_chemical_formula_sum 'Co2 Hg2 S8'
_space_group_name_H-M_alt 'I -4'
_space_group_IT_number 82
_space_group_name_Hall 'I -4'
_cell_length_a 7.1852
_cell_length_b 7.1852
_cell_length_c 5.1094
_cell_angle_alpha 90.00
_cell_angle_beta 90.00
_cell_angle_gamma 90.00
loop_
_atom_site_label
_atom_site_fract_x
_atom_site_fract_y
_atom_site_fract_z
Co1 0.0000 0.0000 0.0000
Hg1 0.0000 0.5000 0.2500
S1 0.1661 0.1806 0.2145
```

***

Record 4
Structure and theoretical powder XRD pattern of Li10Si2PbO10 (a PBE-relaxed structure; Cu Kα X-rays).
Peak positions follow from Bragg's law for the DFT cell and can differ from measured ones.

Largest 10 diffraction maxima, by intensity, 2θ = 10–80°:
2θ (°)  Rel. int.  (hkl)
14.8  100  1 1 0
29.0  77  7 1 -1
25.6  74  3 1 1
19.4  61  2 0 1
17.1  50  3 1 0
22.8  50  4 0 1
37.9  45  1 1 -2
33.1  41  7 1 1
37.4  40  6 2 -1
33.2  39  9 1 -1

Cell and atoms:
```
data_Li10Si2PbO10
_chemical_formula_sum 'Li40 Si8 Pb4 O40'
_space_group_name_H-M_alt 'C 1 2/m 1'
_space_group_IT_number 12
_space_group_name_Hall '-C 2y'
_cell_length_a 30.0675
_cell_length_b 6.1138
_cell_length_c 5.1754
_cell_angle_alpha 90.00
_cell_angle_beta 99.68
_cell_angle_gamma 90.00
loop_
_atom_site_label
_atom_site_fract_x
_atom_site_fract_y
_atom_site_fract_z
Li1 0.0078 0.0000 0.2597
Li2 0.0647 0.2138 0.7298
Li3 0.1318 0.2815 0.5337
Li4 0.1322 0.5000 0.9860
Li5 0.1757 0.0000 0.9231
Li6 0.1948 0.2570 0.2891
Li7 0.2306 0.0000 0.6364
Si1 0.1005 0.0000 0.1946
Si2 0.2191 0.5000 0.8093
Pb1 0.0386 0.5000 0.2889
O1 0.0000 0.2482 0.5000
O2 0.0505 0.0000 0.0028
O3 0.0921 0.5000 0.6430
O4 0.0952 0.0000 0.5095
O5 0.1296 0.2182 0.1408
O6 0.1939 0.2741 0.6713
O7 0.2135 0.5000 0.1199
O8 0.2277 0.0000 0.2362
```